Simulated powder X-ray diffraction pattern
Compound: Ho6TiIn5
Radiation: a wavelength of 1.5418 Å
Structure: a DFT-relaxed cell (PBE, Alexandria)
Lines closer than 0.1° are merged.

Cell and atoms:
```
Ho6TiIn5
1.0
-2.649 3.692 7.959
2.649 -3.692 7.959
2.649 3.692 -7.959
Ho Ti In
6 1 5
Direct
0.083 0.834 0.249
0.250 0.500 0.750
0.416 0.166 0.249
0.584 0.834 0.751
0.750 0.500 0.250
0.917 0.166 0.751
0.000 0.000 0.000
0.159 0.659 0.500
0.333 0.333 0.000
0.500 0.000 0.500
0.667 0.667 0.000
0.841 0.341 0.500
```

Peak list (10 most intense, 2θ = 10–90°, sorted by position)
d 2.651, intensity 50.9
d 2.631, intensity 100.0
d 1.874, intensity 18.1
d 1.846, intensity 8.7
d 1.527, intensity 18.3
d 1.526, intensity 18.6
d 1.515, intensity 18.1
d 1.315, intensity 11.2
d 1.185, intensity 7.9
d 1.184, intensity 7.9